1.
This entry pairs a crystal structure of SmTc4O12 with its calculated powder XRD pattern. Radiation: copper Kα. Structure: a cell relaxed with GGA-PBE.
Peak positions follow from Bragg's law for the DFT cell and can differ from measured ones.

Cell and atoms:
abc: 6.629 6.629 6.629
angles: 109.47 109.47 109.47
Positions (direct):
Sm1 0.000 0.000 0.000
Tc1 0.000 0.000 0.500
Tc2 0.000 0.500 0.000
Tc3 0.500 0.000 0.000
Tc4 0.500 0.500 0.500
O1 0.026 0.770 0.256
O2 0.230 0.256 0.486
O3 0.230 0.744 0.974
O4 0.256 0.026 0.770
O5 0.256 0.486 0.230
O6 0.486 0.230 0.256
O7 0.514 0.770 0.744
O8 0.744 0.514 0.770
O9 0.744 0.974 0.230
O10 0.770 0.256 0.026
O11 0.770 0.744 0.514
O12 0.974 0.230 0.744

The 10 most intense peaks (10 to 80 degrees two-theta), low angle first:
16.38 deg, intensity 58; 23.24 deg, intensity 57; 28.56 deg, intensity 26; 33.10 deg, intensity 100; 44.27 deg, intensity 19; 47.51 deg, intensity 40; 53.54 deg, intensity 20; 59.13 deg, intensity 40; 69.46 deg, intensity 23; 79.13 deg, intensity 17


2.
This entry pairs a crystal structure of SmTlTcO6 with its calculated powder XRD pattern. Radiation: copper Kα. Structure: a cell relaxed with GGA-PBE.
Peak positions follow from Bragg's law for the DFT cell and can differ from measured ones.

Cell and atoms:
abc: 5.649 5.649 4.795
angles: 90.00 90.00 120.00
Positions (direct):
Sm1 0.000 0.000 0.000
Tl1 0.333 0.667 0.500
Tc1 0.667 0.333 0.000
O1 0.382 0.057 0.773
O2 0.382 0.325 0.227
O3 0.675 0.057 0.227
O4 0.675 0.618 0.773
O5 0.943 0.325 0.773
O6 0.943 0.618 0.227

The 10 most intense peaks (10 to 80 degrees two-theta), low angle first:
26.02 deg, intensity 100; 31.68 deg, intensity 46; 41.44 deg, intensity 29; 49.90 deg, intensity 37; 53.08 deg, intensity 29; 56.42 deg, intensity 14; 60.99 deg, intensity 9; 69.74 deg, intensity 9; 72.38 deg, intensity 11; 78.62 deg, intensity 9


3.
This entry pairs a crystal structure of Sm2TeO6 with its calculated powder XRD pattern. Radiation: copper Kα. Structure: a cell relaxed with GGA-PBE.
Peak positions follow from Bragg's law for the DFT cell and can differ from measured ones.

Cell and atoms:
abc: 9.271 9.271 5.378
angles: 90.00 90.00 120.00
Positions (direct):
Sm1 0.000 0.276 0.000
Sm2 0.000 0.613 0.500
Sm3 0.276 0.000 0.000
Sm4 0.387 0.387 0.500
Sm5 0.613 0.000 0.500
Sm6 0.724 0.724 0.000
Te1 0.000 0.000 0.500
Te2 0.333 0.667 0.994
Te3 0.667 0.333 0.006
O1 0.070 0.875 0.291
O2 0.125 0.196 0.291
O3 0.136 0.546 0.203
O4 0.196 0.125 0.709
O5 0.231 0.763 0.782
O6 0.237 0.467 0.782
O7 0.410 0.864 0.203
O8 0.454 0.590 0.203
O9 0.467 0.237 0.218
O10 0.533 0.769 0.782
O11 0.546 0.136 0.797
O12 0.590 0.454 0.797
O13 0.763 0.231 0.218
O14 0.769 0.533 0.218
O15 0.804 0.930 0.291
O16 0.864 0.410 0.797
O17 0.875 0.070 0.709
O18 0.930 0.804 0.709

The 10 most intense peaks (10 to 80 degrees two-theta), low angle first:
25.37 deg, intensity 100; 27.73 deg, intensity 52; 29.43 deg, intensity 20; 33.32 deg, intensity 17; 33.48 deg, intensity 34; 33.92 deg, intensity 20; 45.04 deg, intensity 18; 47.96 deg, intensity 41; 52.52 deg, intensity 28; 73.74 deg, intensity 12